K2Sc3Te6: theoretical powder XRD pattern (λ = 1.5418 Å (Cu Kα)), based on a structure optimized by DFT (GGA-PBE).
Peak positions follow from Bragg's law for the DFT cell and can differ from measured ones.

Largest 10 diffraction maxima, most intense first, 10 to 90 degrees two-theta:
28.5°, intensity 100; 25.8°, intensity 41; 10.3°, intensity 38; 43.8°, intensity 35; 37.5°, intensity 29; 71.3°, intensity 25; 34.9°, intensity 23; 53.1°, intensity 21; 46.2°, intensity 18; 20.6°, intensity 13

Crystal structure
```
K2Sc3Te6
1.0
3.577 -6.196 0.000
3.577 6.196 0.000
-2.389 0.000 8.617
K Sc Te
2 3 6
Direct
0.166 0.834 0.000
0.834 0.166 0.000
0.000 0.000 0.500
0.332 0.668 0.500
0.668 0.332 0.500
0.070 0.400 0.699
0.270 0.270 0.302
0.400 0.070 0.699
0.600 0.930 0.301
0.730 0.730 0.698
0.930 0.600 0.301
```



PmY6Ho2Er: theoretical powder XRD pattern (λ = 1.5418 Å (Cu Kα)), based on a structure optimized by DFT (GGA-PBE).
Peak positions follow from Bragg's law for the DFT cell and can differ from measured ones.

Largest 10 diffraction maxima, most intense first, 10 to 90 degrees two-theta:
31.5°, intensity 100; 31.7°, intensity 87; 30.5°, intensity 58; 30.4°, intensity 58; 28.7°, intensity 51; 33.6°, intensity 47; 32.5°, intensity 38; 11.8°, intensity 35; 27.7°, intensity 34; 60.8°, intensity 23

Crystal structure
```
PmY6Ho2Er
1.0
4.557 -7.480 0.000
4.557 7.480 0.000
-1.489 0.000 9.550
Pm Y Ho Er
2 12 4 2
Direct
0.094 0.906 0.750
0.906 0.094 0.250
0.004 0.794 0.381
0.073 0.522 0.183
0.206 0.996 0.119
0.253 0.620 0.556
0.380 0.747 0.944
0.478 0.927 0.317
0.522 0.073 0.683
0.620 0.253 0.056
0.747 0.380 0.444
0.794 0.004 0.881
0.927 0.478 0.817
0.996 0.206 0.619
0.207 0.308 0.954
0.308 0.207 0.454
0.692 0.793 0.546
0.793 0.692 0.046
0.476 0.524 0.250
0.524 0.476 0.750
```



LaTbPmSc: theoretical powder XRD pattern (λ = 1.5418 Å (Cu Kα)), based on a structure optimized by DFT (GGA-PBE).
Peak positions follow from Bragg's law for the DFT cell and can differ from measured ones.

Largest 10 diffraction maxima, most intense first, 10 to 90 degrees two-theta:
32.0°, intensity 100; 31.1°, intensity 28; 30.6°, intensity 25; 55.9°, intensity 24; 44.1°, intensity 18; 55.2°, intensity 15; 27.6°, intensity 13; 57.9°, intensity 9; 47.6°, intensity 8; 15.1°, intensity 8

Crystal structure
```
LaTbPmSc
1.0
12.299 0.000 0.000
0.000 5.757 0.000
-1.182 0.000 3.637
La Tb Pm Sc
2 2 2 2
Direct
0.000 0.000 0.000
0.500 0.500 0.000
0.268 0.000 0.745
0.768 0.500 0.745
0.228 0.500 0.203
0.728 0.000 0.203
0.496 0.000 0.481
0.996 0.500 0.481
```



GdHoGaSn: theoretical powder XRD pattern (λ = 1.5418 Å (Cu Kα)), based on a structure optimized by DFT (GGA-PBE).
Peak positions follow from Bragg's law for the DFT cell and can differ from measured ones.

Largest 10 diffraction maxima, most intense first, 10 to 90 degrees two-theta:
34.3°, intensity 100; 61.4°, intensity 37; 49.3°, intensity 18; 82.5°, intensity 17; 72.3°, intensity 12; 24.1°, intensity 7; 55.6°, intensity 3; 42.3°, intensity 2; 20.8°, intensity 2; 77.4°, intensity 1

Crystal structure
```
GdHoGaSn
1.0
7.396 0.000 0.000
0.000 7.396 0.000
0.000 0.000 7.396
Gd Ho Ga Sn
4 4 4 4
Direct
0.000 0.000 0.000
0.000 0.500 0.500
0.500 0.000 0.500
0.500 0.500 0.000
0.000 0.000 0.500
0.000 0.500 0.000
0.500 0.000 0.000
0.500 0.500 0.500
0.250 0.250 0.250
0.250 0.750 0.750
0.750 0.250 0.750
0.750 0.750 0.250
0.250 0.250 0.750
0.250 0.750 0.250
0.750 0.250 0.250
0.750 0.750 0.750
```



Sr2CdAs3Pt4: theoretical powder XRD pattern (λ = 1.5418 Å (Cu Kα)), based on a structure optimized by DFT (GGA-PBE).
Peak positions follow from Bragg's law for the DFT cell and can differ from measured ones.

Largest 10 diffraction maxima, most intense first, 10 to 90 degrees two-theta:
33.0°, intensity 100; 40.2°, intensity 70; 44.9°, intensity 50; 32.5°, intensity 31; 68.5°, intensity 24; 58.1°, intensity 24; 21.5°, intensity 23; 47.9°, intensity 21; 76.3°, intensity 21; 16.9°, intensity 18

Crystal structure
```
Sr2CdAs3Pt4
1.0
4.490 0.000 0.000
0.000 4.490 0.000
0.000 0.000 10.479
Sr Cd As Pt
2 1 3 4
Direct
0.000 0.500 0.244
0.500 0.000 0.756
0.000 0.000 0.500
0.000 0.500 0.878
0.500 0.000 0.122
0.500 0.500 0.500
0.000 0.000 0.000
0.000 0.500 0.643
0.500 0.000 0.357
0.500 0.500 0.000
```



MgTa2Ni9: theoretical powder XRD pattern (λ = 1.5418 Å (Cu Kα)), based on a structure optimized by DFT (GGA-PBE).
Peak positions follow from Bragg's law for the DFT cell and can differ from measured ones.

Largest 10 diffraction maxima, most intense first, 10 to 90 degrees two-theta:
42.7°, intensity 100; 49.7°, intensity 32; 88.3°, intensity 23; 73.1°, intensity 19; 50.0°, intensity 15; 88.8°, intensity 11; 16.2°, intensity 10; 29.3°, intensity 10; 72.9°, intensity 10; 24.2°, intensity 8

Crystal structure
```
MgTa2Ni9
1.0
3.671 0.000 0.000
0.000 3.671 0.000
0.000 0.000 10.951
Mg Ta Ni
1 2 9
Direct
0.000 0.000 0.000
0.000 0.000 0.327
0.000 0.000 0.673
0.000 0.500 0.170
0.000 0.500 0.500
0.000 0.500 0.830
0.500 0.000 0.170
0.500 0.000 0.500
0.500 0.000 0.830
0.500 0.500 0.000
0.500 0.500 0.337
0.500 0.500 0.663
```